[1]
Simulated XRD peak list of LaFe2Bi2 for Cu Kα X-rays, from DFT lattice parameters and positions (GGA-PBE).
Intensities are scaled so that the largest is 100.

Structural model:
```
data_LaFe2Bi2
_chemical_formula_sum 'La2 Fe4 Bi4'
_cell_length_a 4.9752
_cell_length_b 4.9752
_cell_length_c 9.5106
_cell_angle_alpha 90.00
_cell_angle_beta 90.00
_cell_angle_gamma 90.00
_space_group_name_H-M_alt 'I 4/m m m'
_space_group_IT_number 139
_space_group_name_Hall '-I 4 2'
loop_
_atom_site_label
_atom_site_fract_x
_atom_site_fract_y
_atom_site_fract_z
La1 0.0000 0.0000 0.0000
Fe1 0.0000 0.0000 0.3847
Bi1 0.0000 0.5000 0.2500
```

Most intense lines, 10° ≤ 2θ ≤ 90°, by intensity:
two_theta	I (rel.)	h k l
31.6	100	1 1 2
36.1	50	2 0 0
62.1	30	3 1 2
18.7	19	0 0 2
52.0	17	2 2 0
46.1	17	1 1 4

---

[2]
Simulated XRD peak list of La6FeBi2N for Cu Kα X-rays, from DFT lattice parameters and positions (GGA-PBE).
Intensities are scaled so that the largest is 100.

Structural model:
```
data_La6FeBi2N
_chemical_formula_sum 'La24 Fe4 Bi8 N4'
_cell_length_a 10.5264
_cell_length_b 10.5690
_cell_length_c 10.5465
_cell_angle_alpha 90.00
_cell_angle_beta 90.00
_cell_angle_gamma 90.00
_space_group_name_H-M_alt 'F m m 2'
_space_group_IT_number 42
_space_group_name_Hall 'F 2 -2'
loop_
_atom_site_label
_atom_site_fract_x
_atom_site_fract_y
_atom_site_fract_z
La1 0.0000 0.0000 0.0000
La2 0.0000 0.0000 0.4847
La3 0.0000 0.2382 0.7368
La4 0.2391 0.0000 0.7362
Fe1 0.0000 0.0000 0.2684
Bi1 0.2500 0.2500 0.4911
N1 0.0000 0.0000 0.7723
```

Most intense lines, 10° ≤ 2θ ≤ 90°, by intensity:
two_theta	I (rel.)	h k l
29.3	100	2 2 2
34.0	42	0 4 0
58.0	30	2 2 6
48.8	30	4 4 0
34.1	21	4 0 0
60.8	15	4 4 4

---

[3]
Simulated XRD peak list of LiFeBi2 for Cu Kα X-rays, from DFT lattice parameters and positions (GGA-PBE).
Intensities are scaled so that the largest is 100.

Structural model:
```
data_LiFeBi2
_chemical_formula_sum 'Li4 Fe4 Bi8'
_cell_length_a 7.6255
_cell_length_b 7.6255
_cell_length_c 6.5556
_cell_angle_alpha 90.00
_cell_angle_beta 90.00
_cell_angle_gamma 90.00
_space_group_name_H-M_alt 'I -4 2 d'
_space_group_IT_number 122
_space_group_name_Hall 'I -4 2bw'
loop_
_atom_site_label
_atom_site_fract_x
_atom_site_fract_y
_atom_site_fract_z
Li1 0.0000 0.0000 0.0000
Fe1 0.0000 0.0000 0.5000
Bi1 0.2044 0.2500 0.6250
```

Most intense lines, 10° ≤ 2θ ≤ 90°, by intensity:
two_theta	I (rel.)	h k l
32.0	100	1 1 2
23.3	66	2 0 0
46.8	51	3 1 2
33.2	48	2 2 0
45.0	25	3 2 1
17.8	24	1 0 1